Record 1
AcTl6Hg: computed PXRD pattern (Cu Kα, 1.54184 Å), based on a DFT-relaxed cell (GGA-PBE, Alexandria).

Principal peaks in the range 2θ from 10° to 80°, in order of rising 2θ:
d [Å]	intensity
2.863	28
2.781	100
2.757	26
1.986	20
1.637	20
1.610	8
1.596	20
1.591	8
1.390	10
1.254	8

Structure:
```
data_AcTl6Hg
_chemical_formula_sum 'Ac2 Tl12 Hg2'
_space_group_name_H-M_alt 'P 1'
_space_group_IT_number 1
_cell_length_a 5.515
_cell_length_b 7.789
_cell_length_c 11.454
_cell_angle_alpha 90.00
_cell_angle_beta 90.00
_cell_angle_gamma 90.00
loop_
_space_group_symop_operation_xyz
'x,y,z'
loop_
_atom_site_label
_atom_site_fract_x
_atom_site_fract_y
_atom_site_fract_z
_atom_site_occupancy
Ac1 0.000 0.000 0.000 1
Ac2 0.000 0.500 0.500 1
Tl1 0.000 0.250 0.250 1
Tl2 0.000 0.250 0.750 1
Tl3 0.000 0.750 0.250 1
Tl4 0.000 0.750 0.750 1
Tl5 0.500 0.000 0.236 1
Tl6 0.500 0.000 0.765 1
Tl7 0.500 0.212 0.501 1
Tl8 0.500 0.288 0.001 1
Tl9 0.500 0.500 0.265 1
Tl10 0.500 0.500 0.736 1
Tl11 0.500 0.712 0.001 1
Tl12 0.500 0.788 0.501 1
Hg1 0.000 0.000 0.500 1
Hg2 0.000 0.500 0.000 1
```

=====

Record 2
Ac4Tl3Hg8: computed PXRD pattern (Cu Kα, 1.54184 Å), based on a DFT-relaxed cell (GGA-PBE, Alexandria).

Principal peaks in the range 2θ from 10° to 80°, in order of rising 2θ:
d [Å]	intensity
5.453	2
4.453	2
3.449	3
3.148	1
2.727	100
1.928	18
1.870	1
1.574	39
1.363	12
1.219	17

Structure:
```
data_Ac4Tl3Hg8
_chemical_formula_sum 'Ac8 Tl6 Hg16'
_space_group_name_H-M_alt 'P 1'
_space_group_IT_number 1
_cell_length_a 10.906
_cell_length_b 10.906
_cell_length_c 10.906
_cell_angle_alpha 60.00
_cell_angle_beta 60.00
_cell_angle_gamma 60.00
loop_
_space_group_symop_operation_xyz
'x,y,z'
loop_
_atom_site_label
_atom_site_fract_x
_atom_site_fract_y
_atom_site_fract_z
_atom_site_occupancy
Ac1 0.000 0.000 0.000 1
Ac2 0.000 0.000 0.500 1
Ac3 0.000 0.500 0.000 1
Ac4 0.000 0.500 0.500 1
Ac5 0.500 0.000 0.000 1
Ac6 0.500 0.000 0.500 1
Ac7 0.500 0.500 0.000 1
Ac8 0.500 0.500 0.500 1
Tl1 0.250 0.250 0.750 1
Tl2 0.250 0.750 0.250 1
Tl3 0.250 0.750 0.750 1
Tl4 0.750 0.250 0.250 1
Tl5 0.750 0.250 0.750 1
Tl6 0.750 0.750 0.250 1
Hg1 0.113 0.629 0.629 1
Hg2 0.129 0.129 0.129 1
Hg3 0.129 0.129 0.613 1
Hg4 0.129 0.613 0.129 1
Hg5 0.371 0.371 0.371 1
Hg6 0.371 0.371 0.887 1
Hg7 0.371 0.887 0.371 1
Hg8 0.387 0.871 0.871 1
Hg9 0.613 0.129 0.129 1
Hg10 0.629 0.113 0.629 1
Hg11 0.629 0.629 0.113 1
Hg12 0.629 0.629 0.629 1
Hg13 0.871 0.387 0.871 1
Hg14 0.871 0.871 0.387 1
Hg15 0.871 0.871 0.871 1
Hg16 0.887 0.371 0.371 1
```

=====

Record 3
Ac2TlHg6: computed PXRD pattern (Cu Kα, 1.54184 Å), based on a DFT-relaxed cell (GGA-PBE, Alexandria).

Principal peaks in the range 2θ from 10° to 80°, in order of rising 2θ:
d [Å]	intensity
2.885	100
2.589	82
2.134	9
1.927	32
1.885	11
1.546	32
1.524	33
1.495	16
1.295	10
1.210	8

Structure:
```
data_Ac2TlHg6
_chemical_formula_sum 'Ac2 Tl1 Hg6'
_space_group_name_H-M_alt 'P 1'
_space_group_IT_number 1
_cell_length_a 8.969
_cell_length_b 8.969
_cell_length_c 3.769
_cell_angle_alpha 90.00
_cell_angle_beta 90.00
_cell_angle_gamma 120.00
loop_
_space_group_symop_operation_xyz
'x,y,z'
loop_
_atom_site_label
_atom_site_fract_x
_atom_site_fract_y
_atom_site_fract_z
_atom_site_occupancy
Ac1 0.333 0.667 0.000 1
Ac2 0.667 0.333 0.000 1
Tl1 0.000 0.000 0.000 1
Hg1 0.000 0.328 0.500 1
Hg2 0.000 0.672 0.500 1
Hg3 0.328 0.000 0.500 1
Hg4 0.328 0.328 0.500 1
Hg5 0.672 0.000 0.500 1
Hg6 0.672 0.672 0.500 1
```